For PmTm3, DFT lattice parameters and positions (GGA-PBE) gives the computed powder diffraction line list in this record (Cu Kα (λ = 1.5418 Å)).

Structural model:
```
data_PmTm3
_chemical_formula_sum 'Pm2 Tm6'
_cell_length_a 3.6101
_cell_length_b 11.2165
_cell_length_c 6.2201
_cell_angle_alpha 90.00
_cell_angle_beta 90.00
_cell_angle_gamma 90.00
_symmetry_space_group_name_H-M 'I m m 2'
_symmetry_Int_Tables_number 44
_symmetry_space_group_name_Hall 'I 2 -2'
loop_
_atom_site_label
_atom_site_fract_x
_atom_site_fract_y
_atom_site_fract_z
Pm1 0.0000 0.0000 0.0000
Tm1 0.0000 0.2481 0.6627
Tm2 0.0000 0.5000 0.9965
```

Peak list (6 most intense, 15 to 90 degrees two-theta, by angle)
2θ (°), I/Imax
28.59, 23
31.91, 36
32.83, 100
32.93, 48
43.40, 23
57.48, 30